[1]
NbReSe6: theoretical PXRD pattern (Cu Kα X-rays), based on a structure optimized by DFT (GGA-PBE).

Principal peaks in the range 2θ from 15° to 90°, in order of falling intensity:
19.22°, 4.617 Å, intensity 100.0, (1 1 0)
30.97°, 2.887 Å, intensity 57.0, (1 2 0)
48.74°, 1.868 Å, intensity 42.4, (0 3 1)
39.02°, 2.308 Å, intensity 34.2, (2 2 0)
33.51°, 2.674 Å, intensity 33.2, (-1 1 1)
43.72°, 2.071 Å, intensity 26.9, (2 1 -1)
45.00°, 2.014 Å, intensity 26.2, (2 1 3)
27.61°, 3.231 Å, intensity 21.9, (1 0 -1)
30.54°, 2.928 Å, intensity 21.0, (1 -1 1)
28.56°, 3.125 Å, intensity 20.8, (1 1 2)
50.95°, 1.792 Å, intensity 20.5, (0 2 -2)
20.28°, 4.379 Å, intensity 16.4, (0 1 1)

Crystal structure
```
data_NbReSe6
_cell_length_a 6.0404
_cell_length_b 6.3246
_cell_length_c 6.3285
_cell_angle_alpha 69.03
_cell_angle_beta 63.46
_cell_angle_gamma 63.42
_symmetry_space_group_name_H-M 'P -1'
_symmetry_Int_Tables_number 2
_symmetry_space_group_name_Hall '-P 1'
loop_
_atom_site_label
_atom_site_type_symbol
_atom_site_fract_x
_atom_site_fract_y
_atom_site_fract_z
Nb1 Nb 0.0000 0.0000 0.0000
Re1 Re 0.5000 0.5000 0.5000
Se1 Se 0.0503 0.7433 0.7422
Se2 Se 0.3544 0.6374 0.1514
Se3 Se 0.3564 0.1498 0.6395
```

---

[2]
Th2Zn3Pt4: theoretical PXRD pattern (Cu Kα X-rays), based on a structure optimized by DFT (GGA-PBE).

Principal peaks in the range 2θ from 15° to 90°, in order of falling intensity:
34.45°, 2.603 Å, intensity 100.0, (1 5 1)
39.73°, 2.269 Å, intensity 92.5, (2 0 2)
37.26°, 2.413 Å, intensity 68.6, (0 2 3)
35.71°, 2.514 Å, intensity 63.3, (2 2 1)
35.90°, 2.501 Å, intensity 31.9, (0 6 1)
33.05°, 2.710 Å, intensity 29.1, (1 3 2)
39.10°, 2.304 Å, intensity 26.0, (2 4 0)
41.56°, 2.173 Å, intensity 23.1, (0 6 2)
58.17°, 1.586 Å, intensity 22.7, (3 5 1)
60.22°, 1.537 Å, intensity 22.3, (2 6 3)
69.35°, 1.355 Å, intensity 22.1, (2 6 4)
49.46°, 1.843 Å, intensity 20.7, (1 7 2)

Crystal structure
```
data_Th2Zn3Pt4
_cell_length_a 5.6558
_cell_length_b 15.8929
_cell_length_c 7.5993
_cell_angle_alpha 90.00
_cell_angle_beta 90.00
_cell_angle_gamma 90.00
_symmetry_space_group_name_H-M 'C m c e'
_symmetry_Int_Tables_number 64
_symmetry_space_group_name_Hall '-C 2ac 2'
loop_
_atom_site_label
_atom_site_type_symbol
_atom_site_fract_x
_atom_site_fract_y
_atom_site_fract_z
Th1 Th 0.0000 0.1130 0.0851
Zn1 Zn 0.0000 0.0000 0.5000
Zn2 Zn 0.2500 0.2249 0.7500
Pt1 Pt 0.0000 0.1770 0.4678
Pt2 Pt 0.2500 0.0590 0.7500
```